This entry pairs a crystal structure of Tm7Te5 with its calculated powder diffractogram. Radiation: Cu Kα X-rays. Structure: a structure optimized by DFT (PBE).
Intensities are scaled so that the largest is 100.

Structure:
Lattice parameters (Å, degrees): 13.5223 3.9724 13.3824 90.00 105.11 90.00
Space group C2/m (No. 12)
Inequivalent atoms, fractional coordinates:
Tm: 0.0000 0.0000 0.0000 [2 per cell]
Tm: 0.0140 0.5000 0.7189 [4 per cell]
Tm: 0.1710 0.0000 0.5591 [4 per cell]
Tm: 0.2439 0.5000 0.1619 [4 per cell]
Te: 0.0000 0.5000 0.5000 [2 per cell]
Te: 0.1352 0.5000 0.9343 [4 per cell]
Te: 0.1665 0.0000 0.3106 [4 per cell]

Peak list (12 most intense, 2θ from 10° to 90°, in order of rising 2θ)
2theta, I (rel.)
27.43, 25
27.63, 37
30.02, 100
30.47, 18
31.19, 25
33.82, 17
35.07, 23
37.90, 34
45.68, 25
46.76, 16
48.38, 11
54.22, 12


This entry pairs a crystal structure of Tm3Te5 with its calculated powder diffractogram. Radiation: Cu Kα X-rays. Structure: a structure optimized by DFT (PBE).
Intensities are scaled so that the largest is 100.

Structure:
Lattice parameters (Å, degrees): 9.3534 9.3534 6.1044 90.00 90.00 120.00
Space group P6_3/mcm (No. 193)
Inequivalent atoms, fractional coordinates:
Tm: 0.0000 0.3734 0.2500 [6 per cell]
Te: 0.0000 0.2748 0.7500 [6 per cell]
Te: 0.3333 0.6667 0.0000 [4 per cell]

Peak list (12 most intense, 2θ from 10° to 90°, in order of rising 2θ)
2theta, I (rel.)
10.92, 19
29.22, 37
32.72, 66
33.18, 100
35.11, 88
42.90, 20
44.82, 18
49.08, 26
54.12, 16
60.51, 22
62.56, 17
70.94, 22


This entry pairs a crystal structure of Tm4Te with its calculated powder diffractogram. Radiation: Cu Kα X-rays. Structure: a structure optimized by DFT (PBE).
Intensities are scaled so that the largest is 100.

Structure:
Lattice parameters (Å, degrees): 9.2225 9.2225 7.1894 90.00 90.00 90.00
Space group I-42d (No. 122)
Inequivalent atoms, fractional coordinates:
Tm: 0.0581 0.6912 0.3847 [16 per cell]
Te: 0.0000 0.0000 0.5000 [4 per cell]

Peak list (12 most intense, 2θ from 10° to 90°, in order of rising 2θ)
2theta, I (rel.)
27.35, 11
28.35, 19
30.66, 30
31.60, 100
37.31, 42
38.83, 10
39.80, 19
51.12, 19
58.65, 10
63.66, 10
66.15, 11
67.18, 9


This entry pairs a crystal structure of TmTe with its calculated powder diffractogram. Radiation: Cu Kα X-rays. Structure: a structure optimized by DFT (PBE).
Intensities are scaled so that the largest is 100.

Structure:
Lattice parameters (Å, degrees): 4.1809 4.1809 6.3930 90.00 90.00 90.00
Space group P4/nmm (No. 129, origin choice 2)
Inequivalent atoms, fractional coordinates:
Tm: 0.2500 0.2500 0.1823 [2 per cell]
Te: 0.2500 0.2500 0.7041 [2 per cell]

Peak list (12 most intense, 2θ from 10° to 90°, in order of rising 2θ)
2theta, I (rel.)
27.91, 33
30.23, 100
35.35, 58
41.61, 45
43.28, 38
52.29, 23
57.07, 29
62.18, 25
62.87, 12
71.34, 17
78.24, 16
78.77, 25